# CaCrSbO6
Calculated powder XRD pattern, Cu Kα (λ = 1.5418 Å). Input: DFT lattice parameters and positions (GGA+U).
Neutral-atom scattering factors, no anomalous dispersion.

Crystal structure
Lattice parameters (Å, degrees): 4.8028 4.8028 9.5792 90.00 90.00 90.00
Fractional positions:
Ca 0.0000 0.0000 0.0000
Ca 0.5000 0.5000 0.5000
Cr 0.0000 0.0000 0.6642
Cr 0.5000 0.5000 0.1642
Sb 0.0000 0.0000 0.3399
Sb 0.5000 0.5000 0.8399
O 0.1750 0.1750 0.5122
O 0.2137 0.2137 0.8169
O 0.2282 0.2282 0.1923
O 0.2718 0.7282 0.6923
O 0.2863 0.7137 0.3169
O 0.3250 0.6750 0.0122
O 0.6750 0.3250 0.0122
O 0.7137 0.2863 0.3169
O 0.7282 0.2718 0.6923
O 0.7718 0.7718 0.1923
O 0.7863 0.7863 0.8169
O 0.8250 0.8250 0.5122

Most intense lines, 2θ = 10–90°, in order of rising 2θ:
- 2θ 18.52, intensity 13
- 2θ 20.69, intensity 43
- 2θ 26.24, intensity 100
- 2θ 33.71, intensity 72
- 2θ 37.45, intensity 14
- 2θ 51.27, intensity 65
- 2θ 54.02, intensity 23
- 2θ 61.01, intensity 13
- 2θ 64.49, intensity 13
- 2θ 65.20, intensity 22


# Ca2CrSbO6
Calculated powder XRD pattern, Cu Kα (λ = 1.5418 Å). Input: DFT lattice parameters and positions (GGA+U).
Neutral-atom scattering factors, no anomalous dispersion.

Crystal structure
Lattice parameters (Å, degrees): 5.4560 7.8448 5.6065 90.00 90.02 90.00
Fractional positions:
Ca 0.0046 0.2500 0.0411
Ca 0.4839 0.2500 0.5650
Ca 0.5161 0.7500 0.4350
Ca 0.9954 0.7500 0.9589
Cr 0.5000 0.0000 0.0000
Cr 0.5000 0.5000 0.0000
Sb 0.0000 0.0000 0.5000
Sb 0.0000 0.5000 0.5000
O 0.0989 0.7500 0.5313
O 0.1960 0.0494 0.7919
O 0.1960 0.4506 0.7919
O 0.2942 0.0490 0.3019
O 0.2942 0.4510 0.3019
O 0.4111 0.7500 0.0305
O 0.5889 0.2500 0.9695
O 0.7058 0.5490 0.6981
O 0.7058 0.9510 0.6981
O 0.8040 0.5494 0.2081
O 0.8040 0.9506 0.2081
O 0.9011 0.2500 0.4687

Most intense lines, 2θ = 10–90°, in order of rising 2θ:
- 2θ 15.81, intensity 12
- 2θ 22.72, intensity 50
- 2θ 31.93, intensity 24
- 2θ 32.33, intensity 100
- 2θ 32.83, intensity 23
- 2θ 46.29, intensity 17
- 2θ 46.45, intensity 30
- 2θ 57.15, intensity 16
- 2θ 58.29, intensity 25
- 2θ 67.67, intensity 14


# CaCr2SiO6
Calculated powder XRD pattern, Cu Kα (λ = 1.5418 Å). Input: DFT lattice parameters and positions (GGA+U).
Neutral-atom scattering factors, no anomalous dispersion.

Crystal structure
Lattice parameters (Å, degrees): 5.4942 5.4942 5.4942 55.52 55.52 55.52
Fractional positions:
Ca 0.0000 0.0000 0.0000
Cr 0.2790 0.2790 0.2790
Cr 0.7887 0.7887 0.7887
Si 0.4758 0.4758 0.4758
O 0.0978 0.6365 0.4331
O 0.2231 0.5466 0.8482
O 0.4331 0.0978 0.6365
O 0.5466 0.8482 0.2231
O 0.6365 0.4331 0.0978
O 0.8482 0.2231 0.5466

Most intense lines, 2θ = 10–90°, in order of rising 2θ:
- 2θ 23.81, intensity 60
- 2θ 32.75, intensity 100
- 2θ 35.07, intensity 75
- 2θ 40.26, intensity 31
- 2θ 48.74, intensity 40
- 2θ 53.35, intensity 62
- 2θ 61.45, intensity 35
- 2θ 62.91, intensity 37
- 2θ 83.41, intensity 12
- 2θ 87.00, intensity 11


# Ca2TaCrO6
Calculated powder XRD pattern, Cu Kα (λ = 1.5418 Å). Input: DFT lattice parameters and positions (GGA+U).
Neutral-atom scattering factors, no anomalous dispersion.

Crystal structure
Lattice parameters (Å, degrees): 5.4576 7.8236 5.6024 90.00 90.20 90.00
Fractional positions:
Ca 0.0071 0.2500 0.0378
Ca 0.4890 0.2500 0.5618
Ca 0.5110 0.7500 0.4382
Ca 0.9929 0.7500 0.9622
Ta 0.0000 0.0000 0.5000
Ta 0.0000 0.5000 0.5000
Cr 0.5000 0.0000 0.0000
Cr 0.5000 0.5000 0.0000
O 0.0882 0.7500 0.5260
O 0.2010 0.0462 0.7889
O 0.2010 0.4538 0.7889
O 0.2910 0.0446 0.2981
O 0.2910 0.4554 0.2981
O 0.4070 0.7500 0.0316
O 0.5930 0.2500 0.9684
O 0.7090 0.5446 0.7019
O 0.7090 0.9554 0.7019
O 0.7990 0.5462 0.2111
O 0.7990 0.9538 0.2111
O 0.9118 0.2500 0.4740

Most intense lines, 2θ = 10–90°, in order of rising 2θ:
- 2θ 15.82, intensity 26
- 2θ 16.24, intensity 26
- 2θ 22.74, intensity 70
- 2θ 27.82, intensity 15
- 2θ 31.95, intensity 25
- 2θ 32.38, intensity 100
- 2θ 32.82, intensity 23
- 2θ 46.40, intensity 30
- 2θ 46.54, intensity 14
- 2θ 52.28, intensity 16


# Ca2Ta2CrO8
Calculated powder XRD pattern, Cu Kα (λ = 1.5418 Å). Input: DFT lattice parameters and positions (GGA+U).
Neutral-atom scattering factors, no anomalous dispersion.

Crystal structure
Lattice parameters (Å, degrees): 5.4261 6.6035 9.9614 104.76 91.51 92.11
Fractional positions:
Ca 0.2451 0.3784 0.4199
Ca 0.2533 0.9490 0.5809
Ca 0.7467 0.0510 0.4191
Ca 0.7549 0.6216 0.5801
Ta 0.2471 0.7827 0.2317
Ta 0.2627 0.5004 0.7668
Ta 0.7373 0.4996 0.2332
Ta 0.7529 0.2173 0.7683
Cr 0.2390 0.1566 0.0069
Cr 0.7610 0.8434 0.9931
O 0.0186 0.2325 0.6300
O 0.0628 0.4999 0.1474
O 0.0944 0.9303 0.1117
O 0.1655 0.6374 0.6249
O 0.3400 0.0399 0.3708
O 0.4158 0.2670 0.8506
O 0.4551 0.7274 0.8699
O 0.4772 0.6372 0.3687
O 0.5228 0.3628 0.6313
O 0.5449 0.2726 0.1301
O 0.5842 0.7330 0.1494
O 0.6600 0.9601 0.6292
O 0.8345 0.3626 0.3751
O 0.9056 0.0697 0.8883
O 0.9372 0.5001 0.8526
O 0.9814 0.7675 0.3700

Most intense lines, 2θ = 10–90°, in order of rising 2θ:
- 2θ 14.56, intensity 63
- 2θ 18.43, intensity 100
- 2θ 18.55, intensity 46
- 2θ 25.91, intensity 57
- 2θ 27.74, intensity 50
- 2θ 30.04, intensity 46
- 2θ 31.33, intensity 74
- 2θ 32.16, intensity 48
- 2θ 32.31, intensity 57
- 2θ 33.06, intensity 68


# CaCrTeO6
Calculated powder XRD pattern, Cu Kα (λ = 1.5418 Å). Input: DFT lattice parameters and positions (GGA+U).
Neutral-atom scattering factors, no anomalous dispersion.

Crystal structure
Lattice parameters (Å, degrees): 5.1659 5.1659 10.2029 90.00 90.00 120.00
Fractional positions:
Ca 0.0000 0.0000 0.0000
Ca 0.0000 0.0000 0.5000
Cr 0.3333 0.6667 0.2500
Cr 0.6667 0.3333 0.7500
Te 0.3333 0.6667 0.7500
Te 0.6667 0.3333 0.2500
O 0.0016 0.3728 0.6438
O 0.0016 0.6288 0.8562
O 0.3712 0.3728 0.8562
O 0.3712 0.9984 0.6438
O 0.3728 0.0016 0.1438
O 0.3728 0.3712 0.3562
O 0.6272 0.6288 0.6438
O 0.6272 0.9984 0.8562
O 0.6288 0.0016 0.3562
O 0.6288 0.6272 0.1438
O 0.9984 0.3712 0.1438
O 0.9984 0.6272 0.3562

Most intense lines, 2θ = 10–90°, in order of rising 2θ:
- 2θ 17.38, intensity 65
- 2θ 19.85, intensity 20
- 2θ 21.69, intensity 32
- 2θ 26.50, intensity 100
- 2θ 34.73, intensity 39
- 2θ 39.09, intensity 41
- 2θ 44.21, intensity 20
- 2θ 50.27, intensity 60
- 2θ 57.41, intensity 21
- 2θ 62.26, intensity 19


# Ca2YCrO5
Calculated powder XRD pattern, Cu Kα (λ = 1.5418 Å). Input: DFT lattice parameters and positions (GGA+U).
Neutral-atom scattering factors, no anomalous dispersion.

Crystal structure
Lattice parameters (Å, degrees): 8.8793 8.8793 8.8793 52.81 142.63 144.07
Fractional positions:
Ca 0.0258 0.0979 0.1237
Ca 0.0258 0.4021 0.4278
Ca 0.9742 0.5979 0.5722
Ca 0.9742 0.9021 0.8763
Y 0.4174 0.7115 0.2059
Y 0.5057 0.2115 0.7941
Cr 0.5203 0.0203 0.5000
Cr 0.5203 0.5203 0.0000
O 0.0213 0.2862 0.7748
O 0.0213 0.7465 0.2351
O 0.1401 0.8080 0.8322
O 0.4670 0.1731 0.5480
O 0.4670 0.4190 0.7939
O 0.5114 0.2465 0.2252
O 0.5114 0.7862 0.7649
O 0.6251 0.6731 0.2061
O 0.6251 0.9190 0.4520
O 0.9758 0.3080 0.1678

Most intense lines, 2θ = 10–90°, in order of rising 2θ:
- 2θ 22.36, intensity 20
- 2θ 22.53, intensity 23
- 2θ 25.19, intensity 21
- 2θ 31.45, intensity 41
- 2θ 31.95, intensity 100
- 2θ 32.70, intensity 45
- 2θ 45.63, intensity 17
- 2θ 46.00, intensity 40
- 2θ 56.31, intensity 19
- 2θ 57.89, intensity 18